# 1
The following is a calculated X-ray diffraction stick pattern of PuCr2AsO8. It was derived from a GGA+U-relaxed structure, using λ = 1.5418 Å (Cu Kα).

Top 10 peaks for 2θ = 10–90°, low angle first:
- d = 6.401 Å, 2θ 13.83, I = 240
- d = 4.584 Å, 2θ 19.36, I = 587
- d = 3.727 Å, 2θ 23.88, I = 434
- d = 3.260 Å, 2θ 27.36, I = 621
- d = 3.223 Å, 2θ 27.68, I = 598
- d = 2.624 Å, 2θ 34.17, I = 1000
- d = 2.292 Å, 2θ 39.31, I = 255
- d = 2.284 Å, 2θ 39.46, I = 244
- d = 1.732 Å, 2θ 52.87, I = 407
- d = 1.721 Å, 2θ 53.23, I = 400

Atomic structure:
```
12
Lattice="3.2233 -3.2596 0.0000 3.2233 3.2596 0.0000 0.0000 0.0000 6.4014" Properties=species:S:1:pos:R:3 pbc="T T T"
Pu 0.0000 0.0000 0.0000
Cr 3.2233 0.0000 1.7097
Cr 3.2233 0.0000 4.6917
As 0.0000 0.0000 3.2007
O 3.2233 2.0137 1.8017
O 3.2233 2.0137 4.5997
O 1.8937 0.0000 3.2007
O 2.0337 0.0000 0.0000
O 4.4129 0.0000 0.0000
O 4.5529 0.0000 3.2007
O 3.2233 -2.0137 1.8017
O 3.2233 -2.0137 4.5997
```


# 2
The following is a calculated X-ray diffraction stick pattern of Cd6Co5O15. It was derived from a GGA+U-relaxed structure, using λ = 1.5418 Å (Cu Kα).

Top 10 peaks for 2θ = 10–90°, low angle first:
- d = 3.086 Å, 2θ 28.94, I = 581
- d = 3.078 Å, 2θ 29.01, I = 582
- d = 2.704 Å, 2θ 33.13, I = 1000
- d = 2.046 Å, 2θ 44.26, I = 86
- d = 2.031 Å, 2θ 44.61, I = 383
- d = 1.630 Å, 2θ 56.46, I = 220
- d = 1.623 Å, 2θ 56.73, I = 180
- d = 1.563 Å, 2θ 59.09, I = 94
- d = 1.560 Å, 2θ 59.25, I = 156
- d = 1.353 Å, 2θ 69.48, I = 97

Atomic structure:
```
26
Lattice="6.7742 0.0000 0.0000 0.3103 6.7674 0.0000 0.2997 0.3204 6.7815" Properties=species:S:1:pos:R:3 pbc="T T T"
Cd 0.0000 0.0000 0.0000
Cd 1.4179 3.6890 5.7267
Cd 2.3609 2.2705 2.4152
Cd 3.5876 5.6656 1.2126
Cd 4.7450 4.8650 4.5828
Cd 5.7570 1.2754 3.4234
Co 0.5358 4.9276 2.6300
Co 1.9937 6.3237 3.9605
Co 3.1769 1.0429 5.3278
Co 4.6867 2.4562 6.7290
Co 5.8562 3.5288 1.2847
O 0.4404 5.2701 4.4961
O 0.3083 3.0534 2.6897
O 0.5164 4.7016 0.7550
O 0.8611 6.7894 2.4412
O 1.3776 1.2192 4.8387
O 2.4070 4.7535 2.8826
O 2.5074 1.9426 0.0360
O 2.9257 5.9853 5.5882
O 3.3381 0.3984 3.5237
O 4.3985 2.4370 4.8533
O 4.5274 2.2696 1.8040
O 4.8313 4.3161 6.7700
O 4.6580 0.5751 6.5234
O 5.4313 4.9792 2.4749
O 6.5581 2.4998 6.7708
```